Entry 1:
SiH2F6: simulated XRD peak list (λ = 1.5418 Å (Cu Kα)), based on a DFT-relaxed cell (GGA-PBE, Alexandria).
Intensities are scaled so that the largest is 100.

Main lines, low angle first (2θ = 15–90°):
2theta	Rel. int.
17.98	11
23.01	30
23.22	100
27.11	16
27.58	14
35.49	37
36.05	51
37.58	15
43.07	15
43.25	14

Cell and atoms:
```
SiH2F6
1.0
6.3882 -4.9345 0.0000
6.3882 4.9345 0.0000
-1.3010 0.0000 3.9961
Si H F
2 4 12
direct
0.2262 0.7738 0.7500
0.7738 0.2262 0.2500
0.2603 0.2821 0.4695
0.2821 0.2603 0.9695
0.7179 0.7397 0.0305
0.7397 0.7179 0.5305
0.0567 0.7905 0.4657
0.2095 0.9433 0.0343
0.2097 0.3334 0.2640
0.2455 0.6072 0.9012
0.3334 0.2097 0.7640
0.3928 0.7545 0.5988
0.6072 0.2455 0.4012
0.6666 0.7903 0.2360
0.7545 0.3928 0.0988
0.7903 0.6666 0.7360
0.7905 0.0567 0.9657
0.9433 0.2095 0.5343
```

Entry 2:
Si2HF6: simulated XRD peak list (λ = 1.5418 Å (Cu Kα)), based on a DFT-relaxed cell (GGA-PBE, Alexandria).
Intensities are scaled so that the largest is 100.

Main lines, low angle first (2θ = 15–90°):
2theta	Rel. int.
20.11	100
21.79	36
29.09	56
31.25	14
37.24	62
39.57	13
54.29	7
57.06	20
61.13	12
69.10	11

Cell and atoms:
```
Si2HF6
1.0
2.6259 1.5160 6.1397
-2.6259 1.5160 6.1397
0.0000 -3.0321 6.1397
Si H F
2 1 6
direct
0.0000 0.0000 0.0000
0.1273 0.1273 0.1273
0.3979 0.3979 0.3979
0.1248 0.8908 0.4571
0.2680 0.7005 0.9414
0.4571 0.1248 0.8908
0.7005 0.9414 0.2680
0.8908 0.4571 0.1248
0.9414 0.2680 0.7005
```

What did the first record say?
SiH2F6: simulated XRD peak list (λ = 1.5418 Å (Cu Kα)), based on a DFT-relaxed cell (GGA-PBE, Alexandria).
Intensities are scaled so that the largest is 100.

Main lines, low angle first (2θ = 15–90°):
2theta	Rel. int.
17.98	11
23.01	30
23.22	100
27.11	16
27.58	14
35.49	37
36.05	51
37.58	15
43.07	15
43.25	14

Cell and atoms:
```
SiH2F6
1.0
6.3882 -4.9345 0.0000
6.3882 4.9345 0.0000
-1.3010 0.0000 3.9961
Si H F
2 4 12
direct
0.2262 0.7738 0.7500
0.7738 0.2262 0.2500
0.2603 0.2821 0.4695
0.2821 0.2603 0.9695
0.7179 0.7397 0.0305
0.7397 0.7179 0.5305
0.0567 0.7905 0.4657
0.2095 0.9433 0.0343
0.2097 0.3334 0.2640
0.2455 0.6072 0.9012
0.3334 0.2097 0.7640
0.3928 0.7545 0.5988
0.6072 0.2455 0.4012
0.6666 0.7903 0.2360
0.7545 0.3928 0.0988
0.7903 0.6666 0.7360
0.7905 0.0567 0.9657
0.9433 0.2095 0.5343
```